[1]
Computed X-ray diffraction stick pattern
Compound: Si2Sb3
Radiation: Cu Kα
Structure: the GGA-PBE geometry in Alexandria
No peak broadening, texture or thermal motion is included.

Atomic structure:
a b c (Å): 7.059 6.847 8.652
angles (deg): 52.63 50.43 76.93
Sites, in units of the cell vectors:
Si 0.095 0.905 0.306
Si 0.556 0.944 0.345
Si 0.905 0.095 0.694
Si 0.944 0.556 0.155
Sb 0.080 0.644 0.740
Sb 0.089 0.089 0.911
Sb 0.339 0.339 0.161
Sb 0.510 0.714 0.170
Sb 0.644 0.080 0.536
Sb 0.714 0.510 0.606

Largest 10 diffraction maxima, by intensity, 2θ from 5° to 70°:
2θ 26.39, I 100; 2θ 30.89, I 67; 2θ 33.93, I 40; 2θ 33.15, I 33; 2θ 27.03, I 33; 2θ 47.30, I 30; 2θ 34.15, I 27; 2θ 46.21, I 21; 2θ 51.96, I 21; 2θ 40.66, I 21



[2]
Computed X-ray diffraction stick pattern
Compound: Pm2GaRh2
Radiation: Cu Kα
Structure: the GGA-PBE geometry in Alexandria
No peak broadening, texture or thermal motion is included.

Atomic structure:
a b c (Å): 7.188 7.188 7.188
angles (deg): 122.68 79.19 130.35
Sites, in units of the cell vectors:
Pm 0.145 0.163 0.308
Pm 0.355 0.663 0.019
Pm 0.645 0.337 0.981
Pm 0.855 0.837 0.692
Ga 0.250 0.750 0.500
Ga 0.750 0.250 0.500
Rh 0.108 0.739 0.847
Rh 0.392 0.239 0.631
Rh 0.608 0.761 0.369
Rh 0.892 0.261 0.153

Largest 10 diffraction maxima, by intensity, 2θ from 5° to 70°:
2θ 29.60, I 100; 2θ 44.40, I 96; 2θ 30.94, I 95; 2θ 39.69, I 85; 2θ 41.84, I 61; 2θ 32.32, I 60; 2θ 25.84, I 57; 2θ 27.40, I 55; 2θ 56.12, I 55; 2θ 38.06, I 47



[3]
Computed X-ray diffraction stick pattern
Compound: Ho4S5F
Radiation: Cu Kα
Structure: the GGA-PBE geometry in Alexandria
No peak broadening, texture or thermal motion is included.

Atomic structure:
a b c (Å): 7.589 7.589 10.282
angles (deg): 107.91 107.91 30.03
Sites, in units of the cell vectors:
Ho 0.004 0.004 0.325
Ho 0.344 0.344 0.916
Ho 0.656 0.656 0.084
Ho 0.996 0.996 0.675
S 0.151 0.151 0.890
S 0.161 0.161 0.262
S 0.500 0.500 0.500
S 0.839 0.839 0.738
S 0.849 0.849 0.110
F 0.500 0.500 0.000

Largest 10 diffraction maxima, by intensity, 2θ from 5° to 70°:
2θ 28.59, I 100; 2θ 17.88, I 78; 2θ 26.33, I 54; 2θ 38.04, I 51; 2θ 42.23, I 45; 2θ 24.49, I 44; 2θ 24.31, I 44; 2θ 9.07, I 44; 2θ 29.81, I 42; 2θ 38.88, I 31



[4]
Computed X-ray diffraction stick pattern
Compound: Tl3Ni
Radiation: Cu Kα
Structure: the GGA-PBE geometry in Alexandria
No peak broadening, texture or thermal motion is included.

Atomic structure:
a b c (Å): 3.470 6.330 9.186
angles (deg): 90.00 90.00 90.00
Sites, in units of the cell vectors:
Tl 0.250 0.005 0.164
Tl 0.250 0.495 0.164
Tl 0.250 0.750 0.542
Tl 0.750 0.250 0.458
Tl 0.750 0.505 0.836
Tl 0.750 0.995 0.836
Ni 0.250 0.250 0.686
Ni 0.750 0.750 0.314

Largest 10 diffraction maxima, by intensity, 2θ from 5° to 70°:
2θ 32.33, I 100; 2θ 39.77, I 94; 2θ 29.86, I 88; 2θ 29.16, I 59; 2θ 56.13, I 33; 2θ 34.41, I 33; 2θ 35.38, I 31; 2θ 27.47, I 31; 2θ 30.96, I 27; 2θ 41.85, I 26



[5]
Computed X-ray diffraction stick pattern
Compound: Na5Si2Te5
Radiation: Cu Kα
Structure: the GGA-PBE geometry in Alexandria
No peak broadening, texture or thermal motion is included.

Atomic structure:
a b c (Å): 7.298 7.298 12.178
angles (deg): 107.74 107.74 37.78
Sites, in units of the cell vectors:
Na 0.000 0.000 0.000
Na 0.157 0.157 0.550
Na 0.246 0.246 0.858
Na 0.754 0.754 0.142
Na 0.843 0.843 0.450
Si 0.444 0.444 0.702
Si 0.556 0.556 0.298
Te 0.154 0.154 0.289
Te 0.396 0.396 0.115
Te 0.500 0.500 0.500
Te 0.604 0.604 0.885
Te 0.846 0.846 0.711

Largest 10 diffraction maxima, by intensity, 2θ from 5° to 70°:
2θ 27.07, I 100; 2θ 22.75, I 79; 2θ 23.64, I 72; 2θ 28.49, I 48; 2θ 38.09, I 46; 2θ 42.39, I 45; 2θ 22.21, I 42; 2θ 42.99, I 38; 2θ 27.85, I 36; 2θ 35.20, I 35



[6]
Computed X-ray diffraction stick pattern
Compound: CaGePO2
Radiation: Cu Kα
Structure: the GGA-PBE geometry in Alexandria
No peak broadening, texture or thermal motion is included.

Atomic structure:
a b c (Å): 3.946 3.946 4.784
angles (deg): 90.00 90.00 90.00
Sites, in units of the cell vectors:
Ca 0.000 0.000 0.000
Ge 0.500 0.500 0.500
P 0.500 0.500 0.000
O 0.000 0.500 0.500
O 0.500 0.000 0.500

Largest 10 diffraction maxima, by intensity, 2θ from 5° to 70°:
2θ 29.34, I 100; 2θ 32.08, I 69; 2θ 46.00, I 59; 2θ 37.60, I 55; 2θ 22.53, I 54; 2θ 60.86, I 47; 2θ 50.24, I 39; 2θ 55.50, I 32; 2θ 44.28, I 17; 2θ 67.09, I 17



[7]
Computed X-ray diffraction stick pattern
Compound: IrOsRh5
Radiation: Cu Kα
Structure: the GGA-PBE geometry in Alexandria
No peak broadening, texture or thermal motion is included.

Atomic structure:
a b c (Å): 6.026 6.026 6.026
angles (deg): 98.65 98.65 134.36
Sites, in units of the cell vectors:
Ir 0.000 0.000 0.000
Os 0.250 0.750 0.500
Rh 0.500 0.500 0.000
Rh 0.513 0.227 0.286
Rh 0.773 0.059 0.286
Rh 0.773 0.487 0.714
Rh 0.941 0.227 0.714

Largest 10 diffraction maxima, by intensity, 2θ from 5° to 70°:
2θ 22.64, I 100; 2θ 31.87, I 73; 2θ 45.96, I 64; 2θ 41.94, I 52; 2θ 46.23, I 40; 2θ 53.86, I 25; 2θ 51.07, I 20; 2θ 52.07, I 15; 2θ 22.13, I 14; 2θ 65.54, I 11



[8]
Computed X-ray diffraction stick pattern
Compound: ScZn7Pd4
Radiation: Cu Kα
Structure: the GGA-PBE geometry in Alexandria
No peak broadening, texture or thermal motion is included.

Atomic structure:
a b c (Å): 5.644 5.644 9.388
angles (deg): 118.89 118.89 50.56
Sites, in units of the cell vectors:
Sc 0.000 0.000 0.000
Zn 0.106 0.106 0.443
Zn 0.315 0.315 0.097
Zn 0.335 0.335 0.372
Zn 0.500 0.500 0.000
Zn 0.665 0.665 0.628
Zn 0.685 0.685 0.903
Zn 0.894 0.894 0.557
Pd 0.184 0.184 0.779
Pd 0.398 0.398 0.678
Pd 0.602 0.602 0.322
Pd 0.816 0.816 0.221

Largest 10 diffraction maxima, by intensity, 2θ from 5° to 70°:
2θ 37.31, I 100; 2θ 43.47, I 99; 2θ 44.98, I 82; 2θ 36.88, I 81; 2θ 53.47, I 54; 2θ 21.14, I 36; 2θ 38.14, I 24; 2θ 36.65, I 20; 2θ 54.42, I 17; 2θ 69.88, I 14



[9]
Computed X-ray diffraction stick pattern
Compound: SmAs2PtRh5
Radiation: Cu Kα
Structure: the GGA-PBE geometry in Alexandria
No peak broadening, texture or thermal motion is included.

Atomic structure:
a b c (Å): 4.698 4.698 7.124
angles (deg): 90.00 90.00 90.00
Sites, in units of the cell vectors:
Sm 0.000 0.000 0.000
As 0.500 0.500 0.331
As 0.500 0.500 0.669
Pt 0.000 0.000 0.500
Rh 0.000 0.500 0.288
Rh 0.000 0.500 0.712
Rh 0.500 0.000 0.288
Rh 0.500 0.000 0.712
Rh 0.500 0.500 0.000

Largest 10 diffraction maxima, by intensity, 2θ from 5° to 70°:
2θ 37.00, I 100; 2θ 38.32, I 87; 2θ 68.42, I 33; 2θ 55.31, I 30; 2θ 31.52, I 28; 2θ 50.43, I 15; 2θ 54.98, I 14; 2θ 65.80, I 13; 2θ 42.66, I 11; 2θ 37.89, I 10



[10]
Computed X-ray diffraction stick pattern
Compound: CsRbCd3
Radiation: Cu Kα
Structure: the GGA-PBE geometry in Alexandria
No peak broadening, texture or thermal motion is included.

Atomic structure:
a b c (Å): 9.821 9.821 9.821
angles (deg): 137.65 74.24 122.17
Sites, in units of the cell vectors:
Cs 0.349 0.099 0.250
Cs 0.651 0.901 0.750
Rb 0.000 0.500 0.500
Rb 0.500 0.500 0.000
Cd 0.104 0.000 0.604
Cd 0.104 0.500 0.104
Cd 0.191 0.441 0.750
Cd 0.809 0.559 0.250
Cd 0.896 0.000 0.396
Cd 0.896 0.500 0.896

Largest 10 diffraction maxima, by intensity, 2θ from 5° to 70°:
2θ 10.89, I 100; 2θ 11.30, I 100; 2θ 34.10, I 86; 2θ 29.57, I 77; 2θ 31.48, I 75; 2θ 23.24, I 66; 2θ 27.44, I 51; 2θ 28.35, I 40; 2θ 30.04, I 30; 2θ 43.06, I 29